Entry 1:
La2Pm6In: theoretical X-ray diffraction stick pattern (λ = 1.5418 Å (Cu Kα)), based on the PBE geometry in Alexandria.
Neutral-atom scattering factors, no anomalous dispersion.

Structure:
Unit cell a=6.739 b=9.236 c=10.531 alpha=107.44 beta=100.36 gamma=95.76
Positions (direct):
La (0.022, 0.285, 0.272)
La (0.330, 0.079, 0.743)
La (0.670, 0.921, 0.257)
La (0.978, 0.715, 0.728)
Pm (0.037, 0.313, 0.938)
Pm (0.143, 0.355, 0.625)
Pm (0.221, 0.956, 0.393)
Pm (0.268, 0.022, 0.058)
Pm (0.421, 0.645, 0.937)
Pm (0.432, 0.680, 0.585)
Pm (0.568, 0.320, 0.415)
Pm (0.579, 0.355, 0.063)
Pm (0.732, 0.978, 0.942)
Pm (0.779, 0.044, 0.607)
Pm (0.857, 0.645, 0.375)
Pm (0.963, 0.687, 0.062)
In (0.336, 0.592, 0.251)
In (0.664, 0.408, 0.749)

Most intense lines, 10 to 90 degrees two-theta, by angle:
d_spacing	I (rel.)
2.947	70
2.922	33
2.907	48
2.897	56
2.858	86
2.847	100
2.809	86
2.633	24
1.812	25
1.656	24



Entry 2:
PaCuIr: theoretical X-ray diffraction stick pattern (λ = 1.5418 Å (Cu Kα)), based on the PBE geometry in Alexandria.
Neutral-atom scattering factors, no anomalous dispersion.

Structure:
Unit cell a=4.691 b=6.692 c=7.141 alpha=90.00 beta=90.00 gamma=90.00
Positions (direct):
Pa (0.000, 0.239, 0.000)
Pa (0.000, 0.761, 0.000)
Pa (0.500, 0.261, 0.500)
Pa (0.500, 0.739, 0.500)
Cu (0.000, 0.000, 0.335)
Cu (0.000, 0.000, 0.665)
Cu (0.500, 0.500, 0.165)
Cu (0.500, 0.500, 0.835)
Ir (0.000, 0.500, 0.301)
Ir (0.000, 0.500, 0.699)
Ir (0.500, 0.000, 0.199)
Ir (0.500, 0.000, 0.801)

Most intense lines, 10 to 90 degrees two-theta, by angle:
d_spacing	I (rel.)
3.921	25
2.615	19
2.545	100
2.441	73
2.345	46
2.123	59
1.691	49
1.314	25
1.307	18
1.265	22



Entry 3:
Ho3Tm2Tl6: theoretical X-ray diffraction stick pattern (λ = 1.5418 Å (Cu Kα)), based on the PBE geometry in Alexandria.
Neutral-atom scattering factors, no anomalous dispersion.

Structure:
Unit cell a=15.150 b=15.150 c=15.150 alpha=162.19 beta=162.19 gamma=25.29
Positions (direct):
Ho (0.000, 0.000, 0.000)
Ho (0.200, 0.200, 0.000)
Ho (0.800, 0.800, 0.000)
Tm (0.447, 0.447, 0.000)
Tm (0.553, 0.553, 0.000)
Tl (0.119, 0.619, 0.500)
Tl (0.303, 0.303, 0.000)
Tl (0.381, 0.881, 0.500)
Tl (0.619, 0.119, 0.500)
Tl (0.697, 0.697, 0.000)
Tl (0.881, 0.381, 0.500)

Most intense lines, 10 to 90 degrees two-theta, by angle:
d_spacing	I (rel.)
7.391	15
3.026	96
2.691	14
2.468	100
2.345	65
1.699	20
1.658	23
1.454	22
1.376	38
1.350	18